Record 1
Ac2Hg7Bi3: computed X-ray powder pattern (Cu Ka), based on a GGA-PBE-relaxed structure.
No peak broadening, texture or thermal motion is included.

Top 10 peaks for 2θ from 10° to 80°, in order of rising 2θ:
- 2θ 27.93, I 33
- 2θ 28.65, I 17
- 2θ 29.58, I 58
- 2θ 31.91, I 100
- 2θ 33.87, I 29
- 2θ 34.80, I 35
- 2θ 37.73, I 39
- 2θ 39.26, I 39
- 2θ 51.59, I 18
- 2θ 55.58, I 30

```
data_Ac2Hg7Bi3
_chemical_formula_sum 'Ac2 Hg7 Bi3'
_cell_length_a 4.768
_cell_length_b 4.590
_cell_length_c 18.680
_cell_angle_alpha 90.00
_cell_angle_beta 97.35
_cell_angle_gamma 90.00
_symmetry_space_group_name_H-M 'P 1 2/m 1'
_symmetry_Int_Tables_number 10
_symmetry_space_group_name_Hall '-P 2y'
loop_
_atom_site_label
_atom_site_type_symbol
_atom_site_fract_x
_atom_site_fract_y
_atom_site_fract_z
_atom_site_occupancy
Ac1 Ac 0.138 0.000 0.273 1
Hg1 Hg 0.068 0.500 0.137 1
Hg2 Hg 0.224 0.000 0.450 1
Hg3 Hg 0.430 0.000 0.859 1
Hg4 Hg 0.500 0.500 0.000 1
Bi1 Bi 0.000 0.000 0.000 1
Bi2 Bi 0.339 0.500 0.681 1
```



Record 2
Mn4Be5: computed X-ray powder pattern (Cu Ka), based on a GGA-PBE-relaxed structure.
No peak broadening, texture or thermal motion is included.

Top 10 peaks for 2θ from 10° to 80°, in order of rising 2θ:
- 2θ 16.41, I 91
- 2θ 33.17, I 42
- 2θ 33.48, I 17
- 2θ 37.22, I 11
- 2θ 41.19, I 60
- 2θ 47.85, I 100
- 2θ 50.70, I 40
- 2θ 61.94, I 11
- 2θ 74.53, I 11
- 2θ 74.71, I 17

```
data_Mn4Be5
_chemical_formula_sum 'Mn8 Be10'
_cell_length_a 7.639
_cell_length_b 7.639
_cell_length_c 2.857
_cell_angle_alpha 90.00
_cell_angle_beta 90.00
_cell_angle_gamma 90.00
_symmetry_space_group_name_H-M 'I 4/m m m'
_symmetry_Int_Tables_number 139
_symmetry_space_group_name_Hall '-I 4 2'
loop_
_atom_site_label
_atom_site_type_symbol
_atom_site_fract_x
_atom_site_fract_y
_atom_site_fract_z
_atom_site_occupancy
Mn1 Mn 0.000 0.319 0.000 1
Be1 Be 0.000 0.000 0.000 1
Be2 Be 0.172 0.172 0.500 1
```



Record 3
TeMoWSeS2: computed X-ray powder pattern (Cu Ka), based on a GGA-PBE-relaxed structure.
No peak broadening, texture or thermal motion is included.

Top 10 peaks for 2θ from 10° to 80°, in order of rising 2θ:
- 2θ 11.92, I 100
- 2θ 31.22, I 36
- 2θ 33.51, I 17
- 2θ 35.60, I 20
- 2θ 36.86, I 72
- 2θ 41.33, I 15
- 2θ 44.80, I 42
- 2θ 55.54, I 25
- 2θ 57.02, I 13
- 2θ 68.53, I 11

```
data_TeMoWSeS2
_chemical_formula_sum 'Te2 Mo2 W2 Se2 S4'
_cell_length_a 3.3097
_cell_length_b 3.3097
_cell_length_c 37.1214
_cell_angle_alpha 90.00
_cell_angle_beta 90.00
_cell_angle_gamma 120.00
_symmetry_space_group_name_H-M 'P 3 m 1'
_symmetry_Int_Tables_number 156
_symmetry_space_group_name_Hall 'P 3 -2"'
loop_
_atom_site_label
_atom_site_type_symbol
_atom_site_fract_x
_atom_site_fract_y
_atom_site_fract_z
_atom_site_occupancy
Te1 Te 0.0000 0.0000 0.0000 1
Te2 Te 0.0000 0.0000 0.1038 1
Mo1 Mo 0.0000 0.0000 0.2460 1
Mo2 Mo 0.0000 0.0000 0.8549 1
W1 W 0.3333 0.6667 0.0519 1
W2 W 0.3333 0.6667 0.4332 1
Se1 Se 0.0000 0.0000 0.3878 1
Se2 Se 0.0000 0.0000 0.4787 1
S1 S 0.3333 0.6667 0.2049 1
S2 S 0.3333 0.6667 0.2871 1
S3 S 0.3333 0.6667 0.8138 1
S4 S 0.3333 0.6667 0.8960 1
```



Record 4
Pm5PuS6: computed X-ray powder pattern (Cu Ka), based on a GGA-PBE-relaxed structure.
No peak broadening, texture or thermal motion is included.

Top 10 peaks for 2θ from 10° to 80°, in order of rising 2θ:
- 2θ 27.16, I 82
- 2θ 31.46, I 100
- 2θ 45.06, I 49
- 2θ 45.15, I 24
- 2θ 53.43, I 34
- 2θ 55.98, I 19
- 2θ 65.67, I 12
- 2θ 72.38, I 10
- 2θ 74.59, I 22
- 2θ 74.72, I 11

```
data_Pm5PuS6
_chemical_formula_sum 'Pm10 Pu2 S12'
_cell_length_a 6.954
_cell_length_b 12.067
_cell_length_c 6.974
_cell_angle_alpha 90.00
_cell_angle_beta 109.46
_cell_angle_gamma 90.00
_symmetry_space_group_name_H-M 'C 1 2/m 1'
_symmetry_Int_Tables_number 12
_symmetry_space_group_name_Hall '-C 2y'
loop_
_atom_site_label
_atom_site_type_symbol
_atom_site_fract_x
_atom_site_fract_y
_atom_site_fract_z
_atom_site_occupancy
Pm1 Pm 0.000 0.000 0.000 1
Pm2 Pm 0.000 0.167 0.500 1
Pm3 Pm 0.000 0.330 0.000 1
Pu1 Pu 0.000 0.500 0.500 1
S1 S 0.246 0.500 0.251 1
S2 S 0.247 0.336 0.747 1
```



Record 5
CaMnBe2: computed X-ray powder pattern (Cu Ka), based on a GGA-PBE-relaxed structure.
No peak broadening, texture or thermal motion is included.

Top 10 peaks for 2θ from 10° to 80°, in order of rising 2θ:
- 2θ 15.57, I 22
- 2θ 28.87, I 100
- 2θ 31.17, I 24
- 2θ 31.43, I 32
- 2θ 38.46, I 27
- 2θ 38.60, I 27
- 2θ 39.82, I 71
- 2θ 40.04, I 19
- 2θ 56.69, I 16
- 2θ 64.42, I 21

```
data_CaMnBe2
_chemical_formula_sum 'Ca1 Mn1 Be2'
_cell_length_a 2.965
_cell_length_b 3.683
_cell_length_c 5.877
_cell_angle_alpha 90.00
_cell_angle_beta 104.42
_cell_angle_gamma 90.00
_symmetry_space_group_name_H-M 'P 1 m 1'
_symmetry_Int_Tables_number 6
_symmetry_space_group_name_Hall 'P -2y'
loop_
_atom_site_label
_atom_site_type_symbol
_atom_site_fract_x
_atom_site_fract_y
_atom_site_fract_z
_atom_site_occupancy
Ca1 Ca 0.000 0.000 0.000 1
Mn1 Mn 0.705 0.500 0.403 1
Be1 Be 0.259 0.000 0.509 1
Be2 Be 0.352 0.500 0.703 1
```



Record 6
NiSb3S2: computed X-ray powder pattern (Cu Ka), based on a GGA-PBE-relaxed structure.
No peak broadening, texture or thermal motion is included.

Top 10 peaks for 2θ from 10° to 80°, in order of rising 2θ:
- 2θ 27.46, I 48
- 2θ 28.89, I 37
- 2θ 33.19, I 100
- 2θ 33.69, I 27
- 2θ 38.86, I 18
- 2θ 44.57, I 43
- 2θ 47.64, I 35
- 2θ 52.00, I 30
- 2θ 56.68, I 21
- 2θ 63.10, I 16

```
data_NiSb3S2
_chemical_formula_sum 'Ni2 Sb6 S4'
_cell_length_a 3.818
_cell_length_b 3.818
_cell_length_c 18.540
_cell_angle_alpha 90.00
_cell_angle_beta 90.00
_cell_angle_gamma 90.00
_symmetry_space_group_name_H-M 'I 4/m m m'
_symmetry_Int_Tables_number 139
_symmetry_space_group_name_Hall '-I 4 2'
loop_
_atom_site_label
_atom_site_type_symbol
_atom_site_fract_x
_atom_site_fract_y
_atom_site_fract_z
_atom_site_occupancy
Ni1 Ni 0.000 0.000 0.000 1
Sb1 Sb 0.000 0.000 0.136 1
Sb2 Sb 0.000 0.000 0.500 1
S1 S 0.000 0.000 0.336 1
```



Record 7
NdErCd2Pd4: computed X-ray powder pattern (Cu Ka), based on a GGA-PBE-relaxed structure.
No peak broadening, texture or thermal motion is included.

Top 10 peaks for 2θ from 10° to 80°, in order of rising 2θ:
- 2θ 22.58, I 3
- 2θ 26.06, I 3
- 2θ 37.03, I 100
- 2θ 37.34, I 99
- 2θ 53.60, I 34
- 2θ 66.53, I 17
- 2θ 67.14, I 34
- 2θ 67.34, I 17
- 2θ 78.85, I 10
- 2θ 79.62, I 11

```
data_NdErCd2Pd4
_chemical_formula_sum 'Nd3 Er3 Cd6 Pd12'
_cell_length_a 4.8166
_cell_length_b 4.8166
_cell_length_c 23.8846
_cell_angle_alpha 90.00
_cell_angle_beta 90.00
_cell_angle_gamma 120.00
_symmetry_space_group_name_H-M 'R -3 m'
_symmetry_Int_Tables_number 166
_symmetry_space_group_name_Hall '-R 3 2"'
loop_
_atom_site_label
_atom_site_type_symbol
_atom_site_fract_x
_atom_site_fract_y
_atom_site_fract_z
_atom_site_occupancy
Nd1 Nd 0.0000 0.0000 0.0000 1
Er1 Er 0.0000 0.0000 0.5000 1
Cd1 Cd 0.0000 0.0000 0.2490 1
Pd1 Pd 0.0000 0.0000 0.1269 1
Pd2 Pd 0.0000 0.0000 0.3798 1
```



Record 8
TbNd2Sm6Ho3: computed X-ray powder pattern (Cu Ka), based on a GGA-PBE-relaxed structure.
No peak broadening, texture or thermal motion is included.

Top 8 peaks for 2θ from 10° to 80°, in order of rising 2θ:
- 2θ 30.37, I 100
- 2θ 35.21, I 51
- 2θ 50.65, I 36
- 2θ 60.19, I 32
- 2θ 60.28, I 11
- 2θ 63.15, I 9
- 2θ 63.30, I 3
- 2θ 74.45, I 6

```
data_TbNd2Sm6Ho3
_chemical_formula_sum 'Tb2 Nd4 Sm12 Ho6'
_cell_length_a 6.249
_cell_length_b 10.821
_cell_length_c 11.937
_cell_angle_alpha 90.00
_cell_angle_beta 100.04
_cell_angle_gamma 90.00
_symmetry_space_group_name_H-M 'C 1 2/m 1'
_symmetry_Int_Tables_number 12
_symmetry_space_group_name_Hall '-C 2y'
loop_
_atom_site_label
_atom_site_type_symbol
_atom_site_fract_x
_atom_site_fract_y
_atom_site_fract_z
_atom_site_occupancy
Tb1 Tb 0.000 0.000 0.000 1
Nd1 Nd 0.000 0.333 0.000 1
Sm1 Sm 0.248 0.000 0.746 1
Sm2 Sm 0.249 0.334 0.747 1
Ho1 Ho 0.000 0.166 0.500 1
Ho2 Ho 0.000 0.500 0.500 1
```